Entry 1:
The following is a simulated powder diffractogram of Pr5YAu6. It was derived from a cell relaxed with PBE, using Cu Kα (λ = 1.5418 Å).

Structural model:
```
data_Pr5YAu6
_space_group_name_H-M_alt 'C 1 2/m 1'
_space_group_IT_number 12
_cell_length_a 16.6577
_cell_length_b 7.4150
_cell_length_c 5.2740
_cell_angle_alpha 90.00
_cell_angle_beta 108.27
_cell_angle_gamma 90.00
loop_
_space_group_symop_operation_xyz
'x,y,z'
'-x,-y,-z'
'-x,y,-z'
'x,-y,z'
'x+1/2,y+1/2,z'
'-x+1/2,-y+1/2,-z'
'-x+1/2,y+1/2,-z'
'x+1/2,-y+1/2,z'
loop_
_atom_site_label
_atom_site_fract_x
_atom_site_fract_y
_atom_site_fract_z
_atom_site_occupancy
Pr1 0.0000 0.0000 0.0000 1
Pr2 0.1647 0.0000 0.6652 1
Pr3 0.1693 0.5000 0.6689 1
Y1 0.0000 0.5000 0.0000 1
Au1 0.0000 0.2688 0.5000 1
Au2 0.1613 0.2595 0.1611 1
```

The 8 most intense peaks (2θ = 10–80°), sorted by position:
Position (°2θ), I_rel, h k l
34.04, 100, 2 0 -2
34.13, 49, 4 2 -1
48.77, 9, 4 0 2
48.93, 9, 8 0 -2
49.15, 8, 0 4 0
60.86, 18, 0 2 3
60.97, 18, 6 2 -3
61.11, 18, 2 4 -2

=====

Entry 2:
The following is a simulated powder diffractogram of Pr3YAu7. It was derived from a cell relaxed with PBE, using Cu Kα (λ = 1.5418 Å).

Structural model:
```
data_Pr3YAu7
_space_group_name_H-M_alt 'C m c m'
_space_group_IT_number 63
_space_group_name_Hall '-C 2c 2'
_cell_length_a 3.8468
_cell_length_b 21.9252
_cell_length_c 13.1734
_cell_angle_alpha 90.00
_cell_angle_beta 90.00
_cell_angle_gamma 90.00
loop_
_atom_site_label
_atom_site_fract_x
_atom_site_fract_y
_atom_site_fract_z
_atom_site_occupancy
Pr1 0.0000 0.1364 0.0526 1
Pr2 0.0000 0.1983 0.7500 1
Y1 0.0000 0.0051 0.7500 1
Au1 0.0000 0.2770 0.0676 1
Au2 0.0000 0.3797 0.7500 1
Au3 0.0000 0.4004 0.1392 1
Au4 0.0000 0.4705 0.5883 1
```

The 8 most intense peaks (2θ = 10–80°), sorted by position:
Position (°2θ), I_rel, h k l
23.48, 47, 1 1 0
31.18, 100, 1 1 3
33.85, 78, 1 5 2
38.73, 43, 0 8 3
42.53, 40, 1 7 3
43.45, 31, 1 3 5
47.26, 38, 2 0 0
65.22, 37, 1 5 8

=====

Entry 3:
The following is a simulated powder diffractogram of PrY3Au2. It was derived from a cell relaxed with PBE, using Cu Kα (λ = 1.5418 Å).

Structural model:
```
data_PrY3Au2
_space_group_name_H-M_alt 'P m c 21'
_space_group_IT_number 26
_cell_length_a 5.0189
_cell_length_b 9.0677
_cell_length_c 7.2290
_cell_angle_alpha 90.00
_cell_angle_beta 90.00
_cell_angle_gamma 90.00
loop_
_space_group_symop_operation_xyz
'x,y,z'
'-x,-y,z+1/2'
'-x,y,z'
'x,-y,z+1/2'
loop_
_atom_site_label
_atom_site_fract_x
_atom_site_fract_y
_atom_site_fract_z
_atom_site_occupancy
Pr1 0.0000 0.0760 0.0000 1
Y1 0.0000 0.3330 0.6364 1
Y2 0.5000 0.1699 0.3389 1
Y3 0.5000 0.4293 0.9754 1
Au1 0.0000 0.3540 0.2359 1
Au2 0.5000 0.1579 0.7422 1
```

The 8 most intense peaks (2θ = 10–80°), sorted by position:
Position (°2θ), I_rel, h k l
23.16, 26, 0 2 1
23.71, 36, 1 1 1
29.28, 39, 1 2 1
32.08, 100, 1 1 2
34.64, 61, 1 3 0
35.78, 51, 2 0 0
42.81, 24, 1 1 3
42.99, 40, 1 3 2

=====

Entry 4:
The following is a simulated powder diffractogram of PrY2Au4. It was derived from a cell relaxed with PBE, using Cu Kα (λ = 1.5418 Å).

Structural model:
```
data_PrY2Au4
_space_group_name_H-M_alt 'P 4/m m m'
_space_group_IT_number 123
_space_group_name_Hall '-P 4 2'
_cell_length_a 5.1225
_cell_length_b 5.1225
_cell_length_c 6.9145
_cell_angle_alpha 90.00
_cell_angle_beta 90.00
_cell_angle_gamma 90.00
loop_
_atom_site_label
_atom_site_fract_x
_atom_site_fract_y
_atom_site_fract_z
_atom_site_occupancy
Pr1 0.0000 0.0000 0.0000 1
Y1 0.0000 0.0000 0.5000 1
Y2 0.5000 0.5000 0.0000 1
Au1 0.0000 0.5000 0.2577 1
```

The 8 most intense peaks (2θ = 10–80°), sorted by position:
Position (°2θ), I_rel, h k l
24.58, 23, 1 1 0
35.03, 54, 2 0 0
35.91, 100, 1 1 2
44.00, 10, 2 0 2
50.39, 19, 2 2 0
63.41, 39, 3 1 2
65.10, 17, 2 0 4
76.12, 11, 2 2 4

=====

Entry 5:
The following is a simulated powder diffractogram of PrZn4Au6. It was derived from a cell relaxed with PBE, using Cu Kα (λ = 1.5418 Å).

Structural model:
```
data_PrZn4Au6
_space_group_name_H-M_alt 'I -4 2 m'
_space_group_IT_number 121
_space_group_name_Hall 'I -4 2'
_cell_length_a 6.7721
_cell_length_b 6.7721
_cell_length_c 9.7214
_cell_angle_alpha 90.00
_cell_angle_beta 90.00
_cell_angle_gamma 90.00
loop_
_atom_site_label
_atom_site_fract_x
_atom_site_fract_y
_atom_site_fract_z
_atom_site_occupancy
Pr1 0.0000 0.0000 0.0000 1
Zn1 0.1587 0.1587 0.4030 1
Au1 0.0000 0.5000 0.0000 1
Au2 0.2112 0.2112 0.6779 1
```

The 8 most intense peaks (2θ = 10–80°), sorted by position:
Position (°2θ), I_rel, h k l
26.12, 43, 1 1 2
30.93, 29, 2 1 1
32.22, 100, 2 0 2
37.57, 56, 2 2 0
41.05, 22, 3 0 1
41.68, 49, 1 1 4
45.97, 28, 2 0 4
46.33, 25, 3 1 2

=====

Entry 6:
The following is a simulated powder diffractogram of PrZn3Au4. It was derived from a cell relaxed with PBE, using Cu Kα (λ = 1.5418 Å).

Structural model:
```
data_PrZn3Au4
_space_group_name_H-M_alt 'C m m m'
_space_group_IT_number 65
_space_group_name_Hall '-C 2 2'
_cell_length_a 6.5611
_cell_length_b 6.6094
_cell_length_c 7.5675
_cell_angle_alpha 90.00
_cell_angle_beta 90.00
_cell_angle_gamma 90.00
loop_
_atom_site_label
_atom_site_fract_x
_atom_site_fract_y
_atom_site_fract_z
_atom_site_occupancy
Pr1 0.0000 0.0000 0.0000 1
Zn1 0.0000 0.0000 0.5000 1
Zn2 0.0000 0.5000 0.1618 1
Au1 0.2500 0.2500 0.3086 1
```

The 8 most intense peaks (2θ = 10–80°), sorted by position:
Position (°2θ), I_rel, h k l
29.49, 29, 0 2 1
29.68, 28, 2 0 1
36.09, 50, 0 2 2
36.24, 49, 2 0 2
38.67, 100, 2 2 0
45.22, 30, 0 2 3
45.35, 30, 2 0 3
68.20, 45, 2 0 5

=====

Entry 7:
The following is a simulated powder diffractogram of Pr2ZnAu3. It was derived from a cell relaxed with PBE, using Cu Kα (λ = 1.5418 Å).

Structural model:
```
data_Pr2ZnAu3
_space_group_name_H-M_alt 'P m m 2'
_space_group_IT_number 25
_cell_length_a 3.6555
_cell_length_b 4.6800
_cell_length_c 8.2226
_cell_angle_alpha 90.00
_cell_angle_beta 90.00
_cell_angle_gamma 90.00
loop_
_space_group_symop_operation_xyz
'x,y,z'
'-x,-y,z'
'-x,y,z'
'x,-y,z'
loop_
_atom_site_label
_atom_site_fract_x
_atom_site_fract_y
_atom_site_fract_z
_atom_site_occupancy
Pr1 0.0000 0.0000 0.0000 1
Pr2 0.0000 0.5000 0.4844 1
Zn1 0.5000 0.5000 0.8203 1
Au1 0.5000 0.0000 0.3333 1
Au2 0.5000 0.0000 0.6753 1
Au3 0.5000 0.5000 0.1407 1
```

The 8 most intense peaks (2θ = 10–80°), sorted by position:
Position (°2θ), I_rel, h k l
24.35, 19, 1 0 0
32.78, 46, 1 0 2
32.94, 100, 1 1 1
38.06, 81, 0 1 3
38.47, 37, 0 2 0
49.90, 18, 2 0 0
51.41, 28, 1 2 2
64.42, 31, 2 1 3

=====

Entry 8:
The following is a simulated powder diffractogram of Pr2Zn3Au4. It was derived from a cell relaxed with PBE, using Cu Kα (λ = 1.5418 Å).

Structural model:
```
data_Pr2Zn3Au4
_space_group_name_H-M_alt 'C m c e'
_space_group_IT_number 64
_space_group_name_Hall '-C 2ac 2'
_cell_length_a 5.9376
_cell_length_b 15.7451
_cell_length_c 8.0149
_cell_angle_alpha 90.00
_cell_angle_beta 90.00
_cell_angle_gamma 90.00
loop_
_atom_site_label
_atom_site_fract_x
_atom_site_fract_y
_atom_site_fract_z
_atom_site_occupancy
Pr1 0.0000 0.1165 0.0837 1
Zn1 0.0000 0.0000 0.5000 1
Zn2 0.2500 0.2209 0.7500 1
Au1 0.0000 0.1844 0.4701 1
Au2 0.2500 0.0492 0.7500 1
```

The 8 most intense peaks (2θ = 10–80°), sorted by position:
Position (°2θ), I_rel, h k l
24.93, 21, 0 2 2
25.21, 25, 0 4 1
31.88, 22, 0 4 2
34.13, 100, 1 5 1
35.48, 37, 0 2 3
36.01, 25, 0 6 1
37.71, 77, 2 0 2
56.05, 22, 3 5 1

=====

Entry 9:
The following is a simulated powder diffractogram of Pr3Zn8Au3. It was derived from a cell relaxed with PBE, using Cu Kα (λ = 1.5418 Å).

Structural model:
```
data_Pr3Zn8Au3
_space_group_name_H-M_alt 'C 1 2/m 1'
_space_group_IT_number 12
_cell_length_a 16.0336
_cell_length_b 4.4827
_cell_length_c 9.2369
_cell_angle_alpha 90.00
_cell_angle_beta 123.42
_cell_angle_gamma 90.00
loop_
_space_group_symop_operation_xyz
'x,y,z'
'-x,-y,-z'
'-x,y,-z'
'x,-y,z'
'x+1/2,y+1/2,z'
'-x+1/2,-y+1/2,-z'
'-x+1/2,y+1/2,-z'
'x+1/2,-y+1/2,z'
loop_
_atom_site_label
_atom_site_fract_x
_atom_site_fract_y
_atom_site_fract_z
_atom_site_occupancy
Pr1 0.0000 0.0000 0.0000 1
Pr2 0.2034 0.5000 0.6969 1
Zn1 0.0018 0.5000 0.3152 1
Zn2 0.1359 0.0000 0.4162 1
Zn3 0.1380 0.0000 0.8468 1
Zn4 0.1626 0.5000 0.3090 1
Au1 0.0000 0.0000 0.5000 1
Au2 0.1558 0.5000 0.0166 1
```

The 8 most intense peaks (2θ = 10–80°), sorted by position:
Position (°2θ), I_rel, h k l
28.22, 99, 3 1 0
28.69, 47, 3 1 -2
34.02, 62, 1 1 2
34.73, 82, 5 1 -2
35.38, 63, 3 1 -3
37.60, 52, 1 1 -3
40.24, 100, 0 2 0
40.44, 53, 6 0 0

=====

Entry 10:
The following is a simulated powder diffractogram of Pr3Zn3Au8. It was derived from a cell relaxed with PBE, using Cu Kα (λ = 1.5418 Å).

Structural model:
```
data_Pr3Zn3Au8
_space_group_name_H-M_alt 'C 1 2/m 1'
_space_group_IT_number 12
_cell_length_a 16.3561
_cell_length_b 4.7163
_cell_length_c 9.1060
_cell_angle_alpha 90.00
_cell_angle_beta 122.94
_cell_angle_gamma 90.00
loop_
_space_group_symop_operation_xyz
'x,y,z'
'-x,-y,-z'
'-x,y,-z'
'x,-y,z'
'x+1/2,y+1/2,z'
'-x+1/2,-y+1/2,-z'
'-x+1/2,y+1/2,-z'
'x+1/2,-y+1/2,z'
loop_
_atom_site_label
_atom_site_fract_x
_atom_site_fract_y
_atom_site_fract_z
_atom_site_occupancy
Pr1 0.0000 0.0000 0.0000 1
Pr2 0.2063 0.5000 0.7197 1
Zn1 0.0000 0.0000 0.5000 1
Zn2 0.1690 0.5000 0.3293 1
Au1 0.0054 0.5000 0.3301 1
Au2 0.1298 0.0000 0.8400 1
Au3 0.1374 0.0000 0.4250 1
Au4 0.1529 0.5000 0.0340 1
```

The 8 most intense peaks (2θ = 10–80°), sorted by position:
Position (°2θ), I_rel, h k l
33.47, 44, 1 1 2
33.65, 46, 3 1 1
33.84, 100, 5 1 -2
35.18, 37, 3 1 -3
37.44, 39, 1 1 -3
37.92, 30, 5 1 0
38.16, 78, 0 2 0
44.51, 27, 7 1 -3

=====

Entry 11:
The following is a simulated powder diffractogram of PrZn3Au. It was derived from a cell relaxed with PBE, using Cu Kα (λ = 1.5418 Å).

Structural model:
```
data_PrZn3Au
_space_group_name_H-M_alt 'C m c m'
_space_group_IT_number 63
_space_group_name_Hall '-C 2c 2'
_cell_length_a 5.9096
_cell_length_b 11.4614
_cell_length_c 5.9805
_cell_angle_alpha 90.00
_cell_angle_beta 90.00
_cell_angle_gamma 90.00
loop_
_atom_site_label
_atom_site_fract_x
_atom_site_fract_y
_atom_site_fract_z
_atom_site_occupancy
Pr1 0.0000 0.2501 0.2500 1
Zn1 0.0000 0.1288 0.7500 1
Zn2 0.2492 0.5000 0.0000 1
Au1 0.0000 0.3552 0.7500 1
```

The 8 most intense peaks (2θ = 10–80°), sorted by position:
Position (°2θ), I_rel, h k l
29.88, 29, 0 0 2
31.65, 100, 1 3 1
33.81, 66, 0 2 2
34.14, 65, 2 2 0
43.04, 92, 2 0 2
45.05, 82, 1 5 1
63.85, 29, 1 5 3
64.26, 28, 3 5 1

=====

Entry 12:
The following is a simulated powder diffractogram of Pr3Zn4Au4. It was derived from a cell relaxed with PBE, using Cu Kα (λ = 1.5418 Å).

Structural model:
```
data_Pr3Zn4Au4
_space_group_name_H-M_alt 'P -1'
_space_group_IT_number 2
_cell_length_a 3.8748
_cell_length_b 4.4884
_cell_length_c 14.3418
_cell_angle_alpha 98.84
_cell_angle_beta 97.73
_cell_angle_gamma 90.20
loop_
_space_group_symop_operation_xyz
'x,y,z'
'-x,-y,-z'
loop_
_atom_site_label
_atom_site_fract_x
_atom_site_fract_y
_atom_site_fract_z
_atom_site_occupancy
Pr1 0.0000 0.0000 0.0000 1
Pr2 0.1464 0.6462 0.2925 1
Zn1 0.2562 0.2565 0.5107 1
Zn2 0.4030 0.9038 0.8064 1
Au1 0.3089 0.8107 0.6192 1
Au2 0.4503 0.4496 0.8987 1
```

The 8 most intense peaks (2θ = 10–80°), sorted by position:
Position (°2θ), I_rel, h k l
25.40, 38, 0 1 -3
31.10, 47, 1 -1 1
31.20, 47, 1 1 0
32.12, 100, 1 0 3
33.08, 80, 1 1 1
40.18, 68, 0 2 -1
40.66, 89, 0 1 5
46.89, 48, 2 0 -1

=====

Entry 13:
The following is a simulated powder diffractogram of Pr4ZnAu2. It was derived from a cell relaxed with PBE, using Cu Kα (λ = 1.5418 Å).

Structural model:
```
data_Pr4ZnAu2
_space_group_name_H-M_alt 'C 1 2/m 1'
_space_group_IT_number 12
_cell_length_a 9.0774
_cell_length_b 5.2516
_cell_length_c 9.0125
_cell_angle_alpha 90.00
_cell_angle_beta 109.57
_cell_angle_gamma 90.00
loop_
_space_group_symop_operation_xyz
'x,y,z'
'-x,-y,-z'
'-x,y,-z'
'x,-y,z'
'x+1/2,y+1/2,z'
'-x+1/2,-y+1/2,-z'
'-x+1/2,y+1/2,-z'
'x+1/2,-y+1/2,z'
loop_
_atom_site_label
_atom_site_fract_x
_atom_site_fract_y
_atom_site_fract_z
_atom_site_occupancy
Pr1 0.1235 0.0000 0.3699 1
Pr2 0.1250 0.5000 0.8772 1
Zn1 0.0000 0.5000 0.5000 1
Au1 0.2500 0.0000 0.7488 1
```

The 8 most intense peaks (2θ = 10–80°), sorted by position:
Position (°2θ), I_rel, h k l
20.76, 32, 1 1 -1
20.92, 12, 0 0 2
34.18, 100, 0 2 0
34.39, 98, 2 0 2
49.27, 36, 2 2 2
61.17, 12, 3 3 -1
61.32, 43, 5 1 1
61.74, 18, 1 1 5